[1]
This entry pairs a crystal structure of La3Te3N with its theoretical X-ray diffraction stick pattern. Radiation: CuKα. Structure: a DFT-relaxed cell (PBE, Alexandria).
Lines closer than 0.1° are merged.

Cell and atoms:
```
28
Lattice="8.018 0.000 0.000 0.000 13.108 0.000 -6.946 0.000 8.444" Properties=species:S:1:pos:R:3 pbc="T T T"
La -0.712 0.418 2.163
La -4.185 6.136 6.384
La -3.090 1.458 5.178
La 0.383 5.096 0.957
La 0.588 8.654 2.752
La -2.884 11.008 6.974
La 3.957 2.100 1.470
La 0.484 4.454 5.691
La 0.690 8.012 7.487
La 4.163 11.650 3.265
La 5.258 6.972 2.059
La 1.785 12.690 6.281
Te -5.194 2.734 7.419
Te -1.721 3.820 3.198
Te -1.390 7.422 5.039
Te 2.083 12.240 0.818
Te 2.819 8.336 0.351
Te -0.654 11.327 4.572
Te 1.726 1.782 3.871
Te -1.747 4.772 8.093
Te -1.010 0.868 7.626
Te 2.463 5.686 3.404
Te 2.794 9.288 5.246
Te 6.267 10.374 1.024
N -0.558 7.150 1.360
N -4.031 12.512 5.581
N 5.103 0.596 2.862
N 1.631 5.958 7.084
```

Most intense lines, 2θ from 10° to 90°, in order of rising 2θ:
| two_theta | d [Å] | Rel. int. |
| --- | --- | --- |
| 23.23 | 3.830 | 34 |
| 26.13 | 3.411 | 59 |
| 26.83 | 3.323 | 47 |
| 28.61 | 3.121 | 59 |
| 29.36 | 3.042 | 36 |
| 29.48 | 3.030 | 58 |
| 29.65 | 3.013 | 100 |
| 30.55 | 2.926 | 54 |

---

[2]
This entry pairs a crystal structure of La8TeN4 with its theoretical X-ray diffraction stick pattern. Radiation: CuKα. Structure: a DFT-relaxed cell (PBE, Alexandria).
Lines closer than 0.1° are merged.

Cell and atoms:
```
13
Lattice="0.000 5.662 5.662 5.662 0.000 5.662 5.662 5.662 0.000" Properties=species:S:1:pos:R:3 pbc="T T T"
La 7.271 4.054 4.054
La 1.157 1.157 1.157
La 4.506 4.506 1.157
La 4.506 1.157 4.506
La 4.054 7.271 4.054
La 4.054 4.054 7.271
La 7.271 7.271 7.271
La 1.157 4.506 4.506
Te 2.831 2.831 2.831
N 9.873 7.115 7.115
N 7.115 9.873 7.115
N 7.115 7.115 9.873
N 9.873 9.873 9.873
```

Most intense lines, 2θ from 10° to 90°, in order of rising 2θ:
| two_theta | d [Å] | Rel. int. |
| --- | --- | --- |
| 13.54 | 6.538 | 17 |
| 27.28 | 3.269 | 100 |
| 31.60 | 2.831 | 46 |
| 34.52 | 2.598 | 25 |
| 41.43 | 2.179 | 40 |
| 45.30 | 2.002 | 43 |
| 53.69 | 1.707 | 26 |
| 58.17 | 1.586 | 17 |

---

Number 2 is which compound?
La8TeN4

---

Which formula does entry 1 have?
La3Te3N

---

Please write out number 1 again, unchanged.
This entry pairs a crystal structure of La3Te3N with its theoretical X-ray diffraction stick pattern. Radiation: CuKα. Structure: a DFT-relaxed cell (PBE, Alexandria).
Lines closer than 0.1° are merged.

Cell and atoms:
```
28
Lattice="8.018 0.000 0.000 0.000 13.108 0.000 -6.946 0.000 8.444" Properties=species:S:1:pos:R:3 pbc="T T T"
La -0.712 0.418 2.163
La -4.185 6.136 6.384
La -3.090 1.458 5.178
La 0.383 5.096 0.957
La 0.588 8.654 2.752
La -2.884 11.008 6.974
La 3.957 2.100 1.470
La 0.484 4.454 5.691
La 0.690 8.012 7.487
La 4.163 11.650 3.265
La 5.258 6.972 2.059
La 1.785 12.690 6.281
Te -5.194 2.734 7.419
Te -1.721 3.820 3.198
Te -1.390 7.422 5.039
Te 2.083 12.240 0.818
Te 2.819 8.336 0.351
Te -0.654 11.327 4.572
Te 1.726 1.782 3.871
Te -1.747 4.772 8.093
Te -1.010 0.868 7.626
Te 2.463 5.686 3.404
Te 2.794 9.288 5.246
Te 6.267 10.374 1.024
N -0.558 7.150 1.360
N -4.031 12.512 5.581
N 5.103 0.596 2.862
N 1.631 5.958 7.084
```

Most intense lines, 2θ from 10° to 90°, in order of rising 2θ:
| two_theta | d [Å] | Rel. int. |
| --- | --- | --- |
| 23.23 | 3.830 | 34 |
| 26.13 | 3.411 | 59 |
| 26.83 | 3.323 | 47 |
| 28.61 | 3.121 | 59 |
| 29.36 | 3.042 | 36 |
| 29.48 | 3.030 | 58 |
| 29.65 | 3.013 | 100 |
| 30.55 | 2.926 | 54 |